Computed powder diffraction line list of TbScInGa for Cu Kα, from the PBE geometry in Alexandria.

Structural model:
Unit cell a=5.0694 b=5.0694 c=5.0694 alpha=60.00 beta=60.00 gamma=60.00
Positions (direct):
Tb1 0.0000 0.0000 0.0000
Sc1 0.5000 0.5000 0.5000
In1 0.7500 0.7500 0.7500
Ga1 0.2500 0.2500 0.2500

Top 6 peaks for 15 to 90 degrees two-theta, most intense first:
2θ 35.41, I 1000; 2θ 63.58, I 350; 2θ 21.47, I 218; 2θ 50.95, I 173; 2θ 85.70, I 152; 2θ 41.79, I 121